Record 1
# Pr4ZnSBr2
Theoretical PXRD pattern, Cu Kα (weighted mean of Kα1 and Kα2). Input: a structure optimized by DFT (GGA-PBE).

Top 10 peaks for 10° ≤ 2θ ≤ 90°, by angle:
2θ = 26.08°, rel. 26
2θ = 29.25°, rel. 51
2θ = 29.54°, rel. 100
2θ = 31.75°, rel. 14
2θ = 40.35°, rel. 35
2θ = 40.52°, rel. 17
2θ = 43.71°, rel. 35
2θ = 43.96°, rel. 18
2θ = 53.66°, rel. 27
2θ = 66.98°, rel. 11

Structural model:
```
Pr4ZnSBr2
1.0
7.186 0.000 0.000
0.000 4.120 0.000
-2.461 0.000 7.614
Pr Zn S Br
4 1 1 2
Direct
0.226 0.000 0.209
0.248 0.500 0.781
0.752 0.500 0.219
0.774 0.000 0.791
0.500 0.000 0.000
0.000 0.500 0.000
0.000 0.000 0.500
0.500 0.500 0.500
```

=====

Record 2
# Pr3Sb2Br
Theoretical PXRD pattern, Cu Kα (weighted mean of Kα1 and Kα2). Input: a structure optimized by DFT (GGA-PBE).

Top 10 peaks for 10° ≤ 2θ ≤ 90°, by angle:
2θ = 27.88°, rel. 100
2θ = 39.71°, rel. 12
2θ = 39.87°, rel. 63
2θ = 49.26°, rel. 13
2θ = 49.41°, rel. 13
2θ = 57.55°, rel. 8
2θ = 65.17°, rel. 11
2θ = 65.29°, rel. 17
2θ = 72.18°, rel. 8
2θ = 72.40°, rel. 12

Structural model:
```
Pr3Sb2Br
1.0
0.000 6.386 13.559
4.539 0.000 13.559
4.539 6.386 0.000
Pr Sb Br
12 8 4
Direct
0.047 0.543 0.189
0.109 0.641 0.641
0.189 0.721 0.047
0.279 0.811 0.457
0.359 0.891 0.891
0.457 0.953 0.279
0.543 0.047 0.721
0.641 0.109 0.109
0.721 0.189 0.543
0.811 0.279 0.953
0.891 0.359 0.359
0.953 0.457 0.811
0.040 0.040 0.210
0.127 0.127 0.623
0.210 0.210 0.040
0.377 0.377 0.873
0.623 0.623 0.127
0.790 0.790 0.960
0.873 0.873 0.377
0.960 0.960 0.790
0.292 0.292 0.458
0.458 0.458 0.292
0.542 0.542 0.708
0.708 0.708 0.542
```